(1)
Diffraction record for TbMg9Cd3. The powder diffractogram is theoretical, not measured: it uses a DFT-relaxed cell (GGA-PBE, Alexandria) and Cu Kα.
Neutral-atom scattering factors, no anomalous dispersion.

Structural model:
```
13
Lattice="2.952 -7.091 0.000 2.952 7.091 0.000 -2.868 0.000 7.123" Properties=species:S:1:pos:R:3 pbc="T T T"
Tb 0.000 0.000 0.000
Mg -1.434 0.000 3.562
Mg 0.062 4.599 4.647
Mg 0.073 1.510 5.623
Mg 2.973 4.599 2.476
Mg 2.962 1.510 1.500
Mg 0.073 -1.510 5.623
Mg 0.062 -4.599 4.647
Mg 2.962 -1.510 1.500
Mg 2.973 -4.599 2.476
Cd 1.476 3.546 0.000
Cd 1.476 -3.546 0.000
Cd 1.517 0.000 3.562
```

Top 8 peaks for 10 to 80 degrees two-theta, low angle first:
| two_theta | I_rel |
| --- | --- |
| 12.43 | 41 |
| 17.49 | 35 |
| 25.00 | 31 |
| 25.12 | 30 |
| 35.13 | 50 |
| 35.40 | 54 |
| 35.72 | 100 |
| 51.28 | 28 |



(2)
Diffraction record for Ca2PaCdAs4. The powder diffractogram is theoretical, not measured: it uses a DFT-relaxed cell (GGA-PBE, Alexandria) and Cu Kα.
Neutral-atom scattering factors, no anomalous dispersion.

Structural model:
```
16
Lattice="5.866 0.000 0.000 0.000 5.866 0.000 0.000 0.000 11.824" Properties=species:S:1:pos:R:3 pbc="T T T"
Ca 0.000 2.933 2.956
Ca 0.000 2.933 8.868
Ca 2.933 0.000 2.956
Ca 2.933 0.000 8.868
Pa 0.000 0.000 0.000
Pa 2.933 2.933 5.912
Cd 0.000 0.000 5.912
Cd 2.933 2.933 0.000
As 0.000 0.000 2.764
As 0.000 0.000 9.060
As 0.000 2.933 0.000
As 0.000 2.933 5.912
As 2.933 0.000 0.000
As 2.933 0.000 5.912
As 2.933 2.933 3.148
As 2.933 2.933 8.676
```

Top 8 peaks for 10 to 80 degrees two-theta, low angle first:
| two_theta | I_rel |
| --- | --- |
| 14.99 | 31 |
| 16.87 | 23 |
| 21.42 | 28 |
| 30.24 | 49 |
| 30.48 | 100 |
| 43.47 | 72 |
| 43.64 | 37 |
| 54.01 | 38 |



(3)
Diffraction record for Ac2Ag2BiO6. The powder diffractogram is theoretical, not measured: it uses a DFT-relaxed cell (GGA-PBE, Alexandria) and Cu Kα.
Neutral-atom scattering factors, no anomalous dispersion.

Structural model:
```
11
Lattice="3.255 1.879 5.511 -3.255 1.879 5.511 0.000 -3.759 5.511" Properties=species:S:1:pos:R:3 pbc="T T T"
Ac 0.000 0.000 3.404
Ac 0.000 0.000 13.129
Ag 0.000 0.000 6.826
Ag 0.000 0.000 9.707
Bi 0.000 0.000 0.000
O -1.868 -1.079 9.431
O 0.000 -2.157 7.102
O -1.868 1.079 7.102
O 1.868 -1.079 9.431
O 0.000 2.157 9.431
O 1.868 1.079 7.102
```

Top 8 peaks for 10 to 80 degrees two-theta, low angle first:
| two_theta | I_rel |
| --- | --- |
| 27.40 | 100 |
| 31.36 | 66 |
| 42.12 | 35 |
| 48.44 | 21 |
| 50.98 | 39 |
| 56.55 | 16 |
| 58.15 | 11 |
| 66.10 | 17 |